Diffraction record for LiMgCo2O4. The powder diffractogram is calculated, not measured: it uses DFT lattice parameters and positions (PBE+U) and Cu Kα, 1.54184 Å.

Peak list (12 most intense, 5 to 70 degrees two-theta, low angle first)
Position (°2θ)  Rel. int.  h k l
21.69  58  0 2 0
23.73  10  1 1 1
29.86  26  0 0 2
30.07  25  2 0 0
37.21  26  0 2 2
37.38  25  2 2 0
42.89  100  2 0 2
44.21  45  0 4 0
48.56  25  2 2 2
62.04  14  0 0 4
62.51  14  4 0 0
63.30  53  2 4 2

Crystal structure
```
data_LiMgCo2O4
_chemical_formula_sum 'Li4 Mg4 Co8 O16'
_symmetry_space_group_name_H-M 'F m m 2'
_symmetry_Int_Tables_number 42
_symmetry_space_group_name_Hall 'F 2 -2'
_cell_length_a 5.943
_cell_length_b 8.195
_cell_length_c 5.984
_cell_angle_alpha 90.00
_cell_angle_beta 90.00
_cell_angle_gamma 90.00
loop_
_atom_site_label
_atom_site_fract_x
_atom_site_fract_y
_atom_site_fract_z
Li1 0.000 0.000 0.000
Mg1 0.000 0.000 0.499
Co1 0.250 0.250 0.250
O1 0.000 0.248 0.500
O2 0.250 0.000 0.249
```